Entry 1:
Calculated X-ray diffraction stick pattern of KTbTiS4 for CuKα, from a GGA-PBE-relaxed structure.
No peak broadening, texture or thermal motion is included.

Main lines, low angle first (2θ from 10° to 90°):
index	d [Å]	2θ/deg	Rel. int.
0 0 1	8.391	10.5	100
0 1 1	5.264	16.8	19
1 1 0	4.622	19.2	28
0 2 0	3.380	26.4	26
2 1 -1	2.978	30.0	18
1 1 2	2.811	31.8	34
2 1 -2	2.746	32.6	31
0 2 2	2.632	34.1	16
2 2 0	2.311	39.0	21
1 0 -4	2.202	41.0	16

Crystal structure
```
data_KTbTiS4
_chemical_formula_sum 'K2 Tb2 Ti2 S8'
_cell_length_a 6.649
_cell_length_b 6.760
_cell_length_c 8.810
_cell_angle_alpha 90.00
_cell_angle_beta 107.73
_cell_angle_gamma 90.00
_space_group_name_H-M_alt 'P 1 21/m 1'
_space_group_IT_number 11
_space_group_name_Hall '-P 2yb'
loop_
_atom_site_label
_atom_site_type_symbol
_atom_site_fract_x
_atom_site_fract_y
_atom_site_fract_z
_atom_site_occupancy
K1 K 0.233 0.250 0.439 1
Tb1 Tb 0.289 0.250 0.952 1
Ti1 Ti 0.260 0.750 0.170 1
S1 S 0.051 0.750 0.920 1
S2 S 0.052 0.750 0.328 1
S3 S 0.499 0.003 0.206 1
```


Entry 2:
Calculated X-ray diffraction stick pattern of KTb4TmS8 for CuKα, from a GGA-PBE-relaxed structure.
No peak broadening, texture or thermal motion is included.

Main lines, low angle first (2θ from 10° to 90°):
index	d [Å]	2θ/deg	Rel. int.
1 0 1	6.729	13.2	38
0 1 2	5.814	15.2	15
1 1 3	3.511	25.4	100
0 1 5	3.491	25.5	35
2 0 2	3.365	26.5	23
0 2 4	2.907	30.8	49
1 2 5	2.240	40.3	52
2 2 0	2.063	43.9	42
2 0 8	2.049	44.2	42
4 1 3	1.518	61.0	16

Crystal structure
```
data_KTb4TmS8
_chemical_formula_sum 'K3 Tb12 Tm3 S24'
_cell_length_a 8.2511
_cell_length_b 8.2511
_cell_length_c 20.0038
_cell_angle_alpha 90.00
_cell_angle_beta 90.00
_cell_angle_gamma 120.00
_space_group_name_H-M_alt 'R 3 m'
_space_group_IT_number 160
_space_group_name_Hall 'R 3 -2"'
loop_
_atom_site_label
_atom_site_type_symbol
_atom_site_fract_x
_atom_site_fract_y
_atom_site_fract_z
_atom_site_occupancy
K1 K 0.0000 0.0000 0.0000 1
Tb1 Tb 0.0000 0.0000 0.7523 1
Tb2 Tb 0.0122 0.5061 0.8784 1
Tm1 Tm 0.0000 0.0000 0.3725 1
S1 S 0.0000 0.0000 0.1428 1
S2 S 0.0000 0.0000 0.6195 1
S3 S 0.0223 0.5112 0.1285 1
S4 S 0.1900 0.3799 0.9564 1
```


Entry 3:
Calculated X-ray diffraction stick pattern of KTb4YS8 for CuKα, from a GGA-PBE-relaxed structure.
No peak broadening, texture or thermal motion is included.

Main lines, low angle first (2θ from 10° to 90°):
index	d [Å]	2θ/deg	Rel. int.
0 0 3	6.731	13.2	31
0 1 2	5.831	15.2	14
1 0 4	4.122	21.6	20
0 2 1	3.516	25.3	100
0 0 6	3.366	26.5	17
0 2 4	2.915	30.7	33
0 2 7	2.244	40.2	50
2 0 8	2.062	43.9	63
4 0 1	1.779	51.4	14
4 0 7	1.518	61.0	23

Crystal structure
```
data_KTb4YS8
_chemical_formula_sum 'K3 Tb12 Y3 S24'
_cell_length_a 8.2495
_cell_length_b 8.2495
_cell_length_c 20.1826
_cell_angle_alpha 90.00
_cell_angle_beta 90.00
_cell_angle_gamma 120.00
_space_group_name_H-M_alt 'R 3 m'
_space_group_IT_number 160
_space_group_name_Hall 'R 3 -2"'
loop_
_atom_site_label
_atom_site_type_symbol
_atom_site_fract_x
_atom_site_fract_y
_atom_site_fract_z
_atom_site_occupancy
K1 K 0.0000 0.0000 0.0000 1
Tb1 Tb 0.0000 0.0000 0.2501 1
Tb2 Tb 0.1726 0.3452 0.4568 1
Y1 Y 0.0000 0.0000 0.6295 1
S1 S 0.0000 0.0000 0.3825 1
S2 S 0.0000 0.0000 0.8585 1
S3 S 0.0440 0.5220 0.3803 1
S4 S 0.1769 0.3537 0.2062 1
```


Entry 4:
Calculated X-ray diffraction stick pattern of K2TcS for CuKα, from a GGA-PBE-relaxed structure.
No peak broadening, texture or thermal motion is included.

Main lines, low angle first (2θ from 10° to 90°):
index	d [Å]	2θ/deg	Rel. int.
2 0 0	6.084	14.6	100
2 2 0	4.302	20.6	13
2 1 1	3.459	25.8	50
4 0 0	3.042	29.4	39
4 2 0	2.721	32.9	39
3 2 1	2.696	33.2	18
1 1 2	2.168	41.7	15
3 1 2	1.936	46.9	21
5 1 2	1.633	56.3	13
5 5 2	1.365	68.8	11

Crystal structure
```
data_K2TcS
_chemical_formula_sum 'K8 Tc4 S4'
_cell_length_a 12.167
_cell_length_b 12.167
_cell_length_c 4.480
_cell_angle_alpha 90.00
_cell_angle_beta 90.00
_cell_angle_gamma 90.00
_space_group_name_H-M_alt 'I -4 2 d'
_space_group_IT_number 122
_space_group_name_Hall 'I -4 2bw'
loop_
_atom_site_label
_atom_site_type_symbol
_atom_site_fract_x
_atom_site_fract_y
_atom_site_fract_z
_atom_site_occupancy
K1 K 0.051 0.250 0.125 1
Tc1 Tc 0.000 0.000 0.500 1
S1 S 0.000 0.000 0.000 1
```


Entry 5:
Calculated X-ray diffraction stick pattern of K2Tc3S6 for CuKα, from a GGA-PBE-relaxed structure.
No peak broadening, texture or thermal motion is included.

Main lines, low angle first (2θ from 10° to 90°):
index	d [Å]	2θ/deg	Rel. int.
2 0 0	8.332	10.6	93
1 1 -1	6.979	12.7	87
1 1 1	6.884	12.9	100
0 0 2	6.003	14.8	23
2 0 -2	4.935	18.0	14
3 1 5	2.130	42.4	10
2 2 -5	2.102	43.0	10
4 2 -5	1.937	46.9	23
8 2 1	1.887	48.2	15
5 3 -4	1.864	48.9	18

Crystal structure
```
data_K2Tc3S6
_chemical_formula_sum 'K16 Tc24 S48'
_cell_length_a 16.671
_cell_length_b 9.863
_cell_length_c 12.012
_cell_angle_alpha 90.00
_cell_angle_beta 91.63
_cell_angle_gamma 90.00
_space_group_name_H-M_alt 'C 1 2/c 1'
_space_group_IT_number 15
_space_group_name_Hall '-C 2yc'
loop_
_atom_site_label
_atom_site_type_symbol
_atom_site_fract_x
_atom_site_fract_y
_atom_site_fract_z
_atom_site_occupancy
K1 K 0.000 0.101 0.250 1
K2 K 0.000 0.290 0.750 1
K3 K 0.118 0.260 0.020 1
Tc1 Tc 0.157 0.347 0.475 1
Tc2 Tc 0.207 0.106 0.416 1
Tc3 Tc 0.208 0.176 0.629 1
S1 S 0.030 0.470 0.427 1
S2 S 0.085 0.140 0.519 1
S3 S 0.148 0.085 0.803 1
S4 S 0.164 0.278 0.284 1
S5 S 0.165 0.405 0.668 1
S6 S 0.243 0.463 0.934 1
```


Entry 6:
Calculated X-ray diffraction stick pattern of K5Te2S5 for CuKα, from a GGA-PBE-relaxed structure.
No peak broadening, texture or thermal motion is included.

Main lines, low angle first (2θ from 10° to 90°):
index	d [Å]	2θ/deg	Rel. int.
2 0 0	7.523	11.8	81
1 1 0	4.264	20.8	72
1 1 -2	3.472	25.7	77
3 1 0	3.325	26.8	87
1 1 2	3.267	27.3	55
3 1 1	3.062	29.2	63
3 1 -2	3.047	29.3	100
2 0 -4	2.775	32.3	75
6 0 1	2.338	38.5	88
0 2 0	2.223	40.6	51

Crystal structure
```
data_K5Te2S5
_chemical_formula_sum 'K10 Te4 S10'
_cell_length_a 15.422
_cell_length_b 4.446
_cell_length_c 11.223
_cell_angle_alpha 90.00
_cell_angle_beta 102.68
_cell_angle_gamma 90.00
_space_group_name_H-M_alt 'C 1 2/m 1'
_space_group_IT_number 12
_space_group_name_Hall '-C 2y'
loop_
_atom_site_label
_atom_site_type_symbol
_atom_site_fract_x
_atom_site_fract_y
_atom_site_fract_z
_atom_site_occupancy
K1 K 0.000 0.000 0.000 1
K2 K 0.148 0.000 0.571 1
K3 K 0.230 0.500 0.136 1
Te1 Te 0.035 0.500 0.271 1
S1 S 0.000 0.500 0.500 1
S2 S 0.116 0.500 0.863 1
S3 S 0.166 0.000 0.301 1
```


Entry 7:
Calculated X-ray diffraction stick pattern of K2TeS3 for CuKα, from a GGA-PBE-relaxed structure.
No peak broadening, texture or thermal motion is included.

Main lines, low angle first (2θ from 10° to 90°):
index	d [Å]	2θ/deg	Rel. int.
1 0 -2	5.796	15.3	29
0 1 2	5.451	16.3	39
1 1 0	4.985	17.8	51
0 2 0	4.676	19.0	28
1 0 -4	3.643	24.4	26
2 0 -2	3.246	27.5	51
0 2 3	3.232	27.6	100
2 2 1	2.307	39.0	29
2 2 -5	2.273	39.7	26
0 0 6	2.236	40.3	19

Crystal structure
```
data_K2TeS3
_chemical_formula_sum 'K8 Te4 S12'
_cell_length_a 6.493
_cell_length_b 9.352
_cell_length_c 14.786
_cell_angle_alpha 90.00
_cell_angle_beta 114.84
_cell_angle_gamma 90.00
_space_group_name_H-M_alt 'P 1 21/c 1'
_space_group_IT_number 14
_space_group_name_Hall '-P 2ybc'
loop_
_atom_site_label
_atom_site_type_symbol
_atom_site_fract_x
_atom_site_fract_y
_atom_site_fract_z
_atom_site_occupancy
K1 K 0.002 0.116 0.245 1
K2 K 0.342 0.131 0.584 1
Te1 Te 0.272 0.687 0.582 1
S1 S 0.080 0.144 0.911 1
S2 S 0.180 0.659 0.942 1
S3 S 0.460 0.656 0.219 1
```


Entry 8:
Calculated X-ray diffraction stick pattern of KThTeS for CuKα, from a GGA-PBE-relaxed structure.
No peak broadening, texture or thermal motion is included.

Main lines, low angle first (2θ from 10° to 90°):
index	d [Å]	2θ/deg	Rel. int.
0 0 1	8.376	10.6	100
2 0 0	3.507	25.4	79
2 0 1	2.955	30.3	88
1 1 2	2.560	35.1	53
0 2 0	2.109	42.9	39
1 1 3	2.070	43.7	22
0 2 1	2.045	44.3	20
2 2 1	1.716	53.4	18
3 1 3	1.486	62.5	21
5 1 0	1.331	70.8	15

Crystal structure
```
data_KThTeS
_chemical_formula_sum 'K2 Th2 Te2 S2'
_cell_length_a 7.300
_cell_length_b 4.220
_cell_length_c 8.719
_cell_angle_alpha 90.00
_cell_angle_beta 106.14
_cell_angle_gamma 90.00
_space_group_name_H-M_alt 'C 1 m 1'
_space_group_IT_number 8
_space_group_name_Hall 'C -2y'
loop_
_atom_site_label
_atom_site_type_symbol
_atom_site_fract_x
_atom_site_fract_y
_atom_site_fract_z
_atom_site_occupancy
K1 K 0.000 0.000 0.000 1
Th1 Th 0.156 0.000 0.467 1
Te1 Te 0.069 0.500 0.708 1
S1 S 0.259 0.500 0.279 1
```


Entry 9:
Calculated X-ray diffraction stick pattern of KThUS4 for CuKα, from a GGA-PBE-relaxed structure.
No peak broadening, texture or thermal motion is included.

Main lines, low angle first (2θ from 10° to 90°):
index	d [Å]	2θ/deg	Rel. int.
0 1 1	7.003	12.6	84
1 0 1	6.886	12.9	78
0 1 3	3.646	24.4	69
1 0 3	3.620	24.6	23
2 1 1	3.601	24.7	46
0 2 2	3.501	25.4	37
2 0 2	3.443	25.9	33
0 0 4	3.007	29.7	100
2 3 1	2.325	38.7	22
2 2 4	2.126	42.5	64

Crystal structure
```
data_KThUS4
_chemical_formula_sum 'K4 Th4 U4 S16'
_cell_length_a 8.397
_cell_length_b 8.611
_cell_length_c 12.034
_cell_angle_alpha 90.00
_cell_angle_beta 90.00
_cell_angle_gamma 90.00
_space_group_name_H-M_alt 'I m m a'
_space_group_IT_number 74
_space_group_name_Hall '-I 2b 2'
loop_
_atom_site_label
_atom_site_type_symbol
_atom_site_fract_x
_atom_site_fract_y
_atom_site_fract_z
_atom_site_occupancy
K1 K 0.000 0.250 0.132 1
Th1 Th 0.000 0.000 0.500 1
U1 U 0.250 0.250 0.750 1
S1 S 0.000 0.041 0.731 1
S2 S 0.215 0.250 0.518 1
```


Entry 10:
Calculated X-ray diffraction stick pattern of K3Th3ZnS8 for CuKα, from a GGA-PBE-relaxed structure.
No peak broadening, texture or thermal motion is included.

Main lines, low angle first (2θ from 10° to 90°):
index	d [Å]	2θ/deg	Rel. int.
0 0 1	7.469	11.8	100
0 0 2	3.734	23.8	17
2 2 -1	3.511	25.4	36
2 2 0	3.389	26.3	35
4 0 0	3.002	29.8	88
4 0 1	2.379	37.8	25
4 0 -4	2.200	41.0	31
0 4 0	2.053	44.1	31
6 2 -1	1.979	45.8	23
8 0 -4	1.694	54.1	16

Crystal structure
```
data_K3Th3ZnS8
_chemical_formula_sum 'K6 Th6 Zn2 S16'
_cell_length_a 14.215
_cell_length_b 8.215
_cell_length_c 8.844
_cell_angle_alpha 90.00
_cell_angle_beta 122.38
_cell_angle_gamma 90.00
_space_group_name_H-M_alt 'C 1 2/m 1'
_space_group_IT_number 12
_space_group_name_Hall '-C 2y'
loop_
_atom_site_label
_atom_site_type_symbol
_atom_site_fract_x
_atom_site_fract_y
_atom_site_fract_z
_atom_site_occupancy
K1 K 0.000 0.000 0.000 1
K2 K 0.250 0.250 0.000 1
Th1 Th 0.000 0.500 0.500 1
Th2 Th 0.250 0.250 0.500 1
Zn1 Zn 0.000 0.000 0.500 1
S1 S 0.018 0.244 0.310 1
S2 S 0.225 0.000 0.689 1
S3 S 0.238 0.500 0.715 1
```


Entry 11:
Calculated X-ray diffraction stick pattern of K3TiS4 for CuKα, from a GGA-PBE-relaxed structure.
No peak broadening, texture or thermal motion is included.

Main lines, low angle first (2θ from 10° to 90°):
index	d [Å]	2θ/deg	Rel. int.
0 0 1	7.648	11.6	100
1 1 0	5.850	15.1	66
1 1 -1	5.657	15.7	36
2 0 -2	4.408	20.1	27
1 1 1	4.036	22.0	32
3 1 -1	3.375	26.4	27
3 1 0	2.937	30.4	21
2 2 -2	2.828	31.6	34
3 1 -3	2.730	32.8	27
2 2 1	2.468	36.4	22

Crystal structure
```
data_K3TiS4
_chemical_formula_sum 'K6 Ti2 S8'
_cell_length_a 11.534
_cell_length_b 7.375
_cell_length_c 9.183
_cell_angle_alpha 90.00
_cell_angle_beta 123.61
_cell_angle_gamma 90.00
_space_group_name_H-M_alt 'C 1 2 1'
_space_group_IT_number 5
_space_group_name_Hall 'C 2y'
loop_
_atom_site_label
_atom_site_type_symbol
_atom_site_fract_x
_atom_site_fract_y
_atom_site_fract_z
_atom_site_occupancy
K1 K 0.000 0.000 0.000 1
K2 K 0.225 0.052 0.627 1
Ti1 Ti 0.000 0.630 0.500 1
S1 S 0.003 0.806 0.704 1
S2 S 0.200 0.470 0.661 1
```


Entry 12:
Calculated X-ray diffraction stick pattern of K14Ti2S9 for CuKα, from a GGA-PBE-relaxed structure.
No peak broadening, texture or thermal motion is included.

Main lines, low angle first (2θ from 10° to 90°):
index	d [Å]	2θ/deg	Rel. int.
0 1 1	6.513	13.6	56
2 -1 1	4.168	21.3	40
0 0 3	4.112	21.6	25
1 1 2	3.597	24.8	81
1 2 0	2.899	30.8	35
0 1 4	2.861	31.3	26
3 -1 1	2.822	31.7	90
3 0 0	2.556	35.1	81
2 -1 4	2.531	35.5	100
1 2 3	2.369	38.0	27

Crystal structure
```
data_K14Ti2S9
_chemical_formula_sum 'K14 Ti2 S9'
_cell_length_a 8.8557
_cell_length_b 8.8557
_cell_length_c 12.3365
_cell_angle_alpha 90.00
_cell_angle_beta 90.00
_cell_angle_gamma 120.00
_space_group_name_H-M_alt 'P -3'
_space_group_IT_number 147
_space_group_name_Hall '-P 3'
loop_
_atom_site_label
_atom_site_type_symbol
_atom_site_fract_x
_atom_site_fract_y
_atom_site_fract_z
_atom_site_occupancy
K1 K 0.0000 0.0000 0.2468 1
K2 K 0.0435 0.6753 0.4053 1
K3 K 0.0896 0.3967 0.0991 1
Ti1 Ti 0.3333 0.6667 0.7723 1
S1 S 0.0000 0.0000 0.5000 1
S2 S 0.1019 0.3911 0.8368 1
S3 S 0.3333 0.6667 0.5781 1
```